1.
# Mg4Ti5Te3O18
Computed XRD peak list, Cu Kα (weighted mean of Kα1 and Kα2). Input: a GGA-PBE-relaxed structure.
Lines closer than 0.1° are merged.

Most intense lines, 2θ = 5–70°, in order of rising 2θ:
19.28°, d 4.604, I = 24
20.39°, d 4.355, I = 100
20.57°, d 4.317, I = 42
27.97°, d 3.190, I = 59
28.43°, d 3.139, I = 34
33.09°, d 2.707, I = 52
33.77°, d 2.654, I = 27
34.03°, d 2.635, I = 34
34.61°, d 2.591, I = 29
36.59°, d 2.456, I = 26
45.81°, d 1.981, I = 33
54.31°, d 1.689, I = 27

Structure:
Unit cell a=8.7575 b=8.7575 c=11.0816 alpha=92.49 beta=92.49 gamma=65.44
Sites, in units of the cell vectors:
Mg (0.1321, 0.8104, 0.9574)
Mg (0.1597, 0.4333, 0.0780)
Mg (0.1896, 0.8679, 0.5426)
Mg (0.4333, 0.1597, 0.5780)
Mg (0.5667, 0.8403, 0.4220)
Mg (0.8104, 0.1321, 0.4574)
Mg (0.8403, 0.5667, 0.9220)
Mg (0.8679, 0.1896, 0.0426)
Ti (0.0275, 0.6399, 0.4419)
Ti (0.1851, 0.5186, 0.7072)
Ti (0.3542, 0.6458, 0.2500)
Ti (0.3601, 0.9725, 0.0581)
Ti (0.4814, 0.8149, 0.7928)
Ti (0.5186, 0.1851, 0.2072)
Ti (0.6399, 0.0275, 0.9419)
Ti (0.6458, 0.3542, 0.7500)
Ti (0.8149, 0.4814, 0.2928)
Ti (0.9725, 0.3601, 0.5581)
Te (0.1297, 0.1788, 0.8189)
Te (0.1788, 0.1297, 0.3189)
Te (0.5000, 0.5000, 0.0000)
Te (0.5000, 0.5000, 0.5000)
Te (0.8212, 0.8703, 0.6811)
Te (0.8703, 0.8212, 0.1811)
O (0.0492, 0.4182, 0.3975)
O (0.0624, 0.1168, 0.4728)
O (0.0888, 0.4045, 0.8948)
O (0.0914, 0.7081, 0.8006)
O (0.1168, 0.0624, 0.9728)
O (0.1411, 0.6888, 0.3244)
O (0.1927, 0.2867, 0.6376)
O (0.2307, 0.6037, 0.5590)
O (0.2409, 0.6148, 0.0756)
O (0.2867, 0.1927, 0.1376)
O (0.2919, 0.9086, 0.6994)
O (0.3112, 0.8589, 0.1756)
O (0.3852, 0.7591, 0.4244)
O (0.3963, 0.7693, 0.9410)
O (0.4027, 0.4081, 0.7415)
O (0.4045, 0.0888, 0.3948)
O (0.4081, 0.4027, 0.2415)
O (0.4182, 0.0492, 0.8975)
O (0.5818, 0.9508, 0.1025)
O (0.5919, 0.5973, 0.7585)
O (0.5955, 0.9112, 0.6052)
O (0.5973, 0.5919, 0.2585)
O (0.6037, 0.2307, 0.0590)
O (0.6148, 0.2409, 0.5756)
O (0.6888, 0.1411, 0.8244)
O (0.7081, 0.0914, 0.3006)
O (0.7133, 0.8073, 0.8624)
O (0.7591, 0.3852, 0.9244)
O (0.7693, 0.3963, 0.4410)
O (0.8073, 0.7133, 0.3624)
O (0.8589, 0.3112, 0.6756)
O (0.8832, 0.9376, 0.0272)
O (0.9086, 0.2919, 0.1994)
O (0.9112, 0.5955, 0.1052)
O (0.9376, 0.8832, 0.5272)
O (0.9508, 0.5818, 0.6025)

2.
# YTh9MgO20
Computed XRD peak list, Cu Kα (weighted mean of Kα1 and Kα2). Input: a GGA-PBE-relaxed structure.
Lines closer than 0.1° are merged.

Most intense lines, 2θ = 5–70°, in order of rising 2θ:
27.29°, d 3.268, I = 100
27.40°, d 3.255, I = 99
31.68°, d 2.825, I = 75
45.27°, d 2.003, I = 17
45.41°, d 1.997, I = 69
45.55°, d 1.991, I = 17
53.75°, d 1.706, I = 46
53.87°, d 1.702, I = 30
53.94°, d 1.700, I = 15
56.30°, d 1.634, I = 11
56.54°, d 1.628, I = 10
66.16°, d 1.412, I = 15

Structure:
Unit cell a=6.9018 b=7.9957 c=8.9473 alpha=103.13 beta=97.20 gamma=106.73
Sites, in units of the cell vectors:
Y (0.0000, 0.0000, 0.0000)
Th (0.0030, 0.4977, 0.0060)
Th (0.1856, 0.3731, 0.3872)
Th (0.2025, 0.9011, 0.3945)
Th (0.4028, 0.3010, 0.8006)
Th (0.4028, 0.8131, 0.8318)
Th (0.6008, 0.2042, 0.2019)
Th (0.6120, 0.7054, 0.2033)
Th (0.8074, 0.1011, 0.6059)
Th (0.8318, 0.5967, 0.6111)
Mg (0.4913, 0.7230, 0.5289)
O (0.0541, 0.2225, 0.8487)
O (0.0549, 0.7277, 0.8557)
O (0.1545, 0.1740, 0.5488)
O (0.1778, 0.6741, 0.5563)
O (0.2456, 0.1211, 0.2463)
O (0.2486, 0.6184, 0.2500)
O (0.3544, 0.0802, 0.9571)
O (0.3545, 0.5774, 0.9557)
O (0.4548, 0.0272, 0.6575)
O (0.4614, 0.5273, 0.6504)
O (0.5530, 0.4811, 0.3597)
O (0.5586, 0.9907, 0.3453)
O (0.6520, 0.4278, 0.0518)
O (0.6567, 0.9276, 0.0540)
O (0.7400, 0.8650, 0.7408)
O (0.7595, 0.3757, 0.7531)
O (0.8596, 0.3287, 0.4539)
O (0.8693, 0.8225, 0.4552)
O (0.9471, 0.2717, 0.1490)
O (0.9530, 0.7734, 0.1522)

3.
# YTh9MgO20
Computed XRD peak list, Cu Kα (weighted mean of Kα1 and Kα2). Input: a GGA-PBE-relaxed structure.
Lines closer than 0.1° are merged.

Most intense lines, 2θ = 5–70°, in order of rising 2θ:
27.27°, d 3.270, I = 99
27.38°, d 3.258, I = 100
31.49°, d 2.841, I = 24
31.74°, d 2.819, I = 50
45.21°, d 2.006, I = 33
45.44°, d 1.996, I = 51
45.51°, d 1.993, I = 17
53.66°, d 1.708, I = 16
53.79°, d 1.704, I = 23
53.94°, d 1.700, I = 39
56.50°, d 1.629, I = 10
66.30°, d 1.410, I = 11

Structure:
Unit cell a=6.9250 b=7.9829 c=8.9162 alpha=102.75 beta=97.25 gamma=106.39
Sites, in units of the cell vectors:
Y (0.0000, 0.0000, 0.0000)
Th (0.0525, 0.5586, 0.0194)
Th (0.2566, 0.9600, 0.4160)
Th (0.2612, 0.4627, 0.4324)
Th (0.4467, 0.8592, 0.8230)
Th (0.4632, 0.3562, 0.8142)
Th (0.6482, 0.7463, 0.2202)
Th (0.6779, 0.2508, 0.2254)
Th (0.8558, 0.6541, 0.6166)
Th (0.8594, 0.1519, 0.6248)
Mg (0.2934, 0.3197, 0.1010)
O (0.0196, 0.3238, 0.1713)
O (0.0946, 0.7735, 0.8670)
O (0.1096, 0.2740, 0.8792)
O (0.2063, 0.7325, 0.5737)
O (0.2087, 0.2332, 0.5734)
O (0.3045, 0.6913, 0.2775)
O (0.3160, 0.1862, 0.2710)
O (0.4043, 0.6360, 0.9650)
O (0.4049, 0.1342, 0.9752)
O (0.5061, 0.0826, 0.6699)
O (0.5059, 0.5790, 0.6708)
O (0.6132, 0.0320, 0.3730)
O (0.6170, 0.5331, 0.3777)
O (0.6970, 0.9745, 0.0691)
O (0.7173, 0.4775, 0.0685)
O (0.7928, 0.9214, 0.7658)
O (0.8079, 0.4268, 0.7676)
O (0.9099, 0.8827, 0.4717)
O (0.9138, 0.3792, 0.4718)
O (0.9972, 0.8255, 0.1683)

4.
# YTh9MgO20
Computed XRD peak list, Cu Kα (weighted mean of Kα1 and Kα2). Input: a GGA-PBE-relaxed structure.
Lines closer than 0.1° are merged.

Most intense lines, 2θ = 5–70°, in order of rising 2θ:
27.27°, d 3.271, I = 100
27.33°, d 3.263, I = 51
27.44°, d 3.250, I = 50
31.63°, d 2.828, I = 50
31.70°, d 2.822, I = 25
45.21°, d 2.006, I = 34
45.46°, d 1.995, I = 69
53.50°, d 1.713, I = 8
53.72°, d 1.706, I = 46
53.89°, d 1.701, I = 23
53.96°, d 1.699, I = 16
66.20°, d 1.412, I = 11

Structure:
Unit cell a=6.8996 b=8.0228 c=8.9272 alpha=102.71 beta=97.29 gamma=106.86
Sites, in units of the cell vectors:
Y (0.0000, 0.0000, 0.0000)
Th (0.0148, 0.5020, 0.9953)
Th (0.1984, 0.8944, 0.3978)
Th (0.2290, 0.3925, 0.4035)
Th (0.4054, 0.2976, 0.8035)
Th (0.4058, 0.8004, 0.7952)
Th (0.5738, 0.1625, 0.1833)
Th (0.6083, 0.7048, 0.1971)
Th (0.8101, 0.1056, 0.6028)
Th (0.8122, 0.6141, 0.6212)
Mg (0.8737, 0.4962, 0.2995)
O (0.0579, 0.2308, 0.8502)
O (0.0604, 0.7254, 0.8511)
O (0.1603, 0.6766, 0.5522)
O (0.1651, 0.1768, 0.5520)
O (0.2520, 0.1243, 0.2486)
O (0.2678, 0.6215, 0.2500)
O (0.3482, 0.0699, 0.9453)
O (0.3610, 0.5749, 0.9483)
O (0.4608, 0.0274, 0.6505)
O (0.4611, 0.5265, 0.6512)
O (0.5503, 0.9726, 0.3468)
O (0.5748, 0.4700, 0.3514)
O (0.6488, 0.9212, 0.0464)
O (0.6584, 0.4220, 0.0580)
O (0.7575, 0.3803, 0.7549)
O (0.7589, 0.8789, 0.7558)
O (0.8537, 0.8380, 0.4586)
O (0.8669, 0.3315, 0.4516)
O (0.9503, 0.2856, 0.1599)
O (0.9576, 0.7842, 0.1441)

5.
# YTh9MgO20
Computed XRD peak list, Cu Kα (weighted mean of Kα1 and Kα2). Input: a GGA-PBE-relaxed structure.
Lines closer than 0.1° are merged.

Most intense lines, 2θ = 5–70°, in order of rising 2θ:
27.28°, d 3.269, I = 100
27.36°, d 3.259, I = 99
31.48°, d 2.842, I = 24
31.73°, d 2.820, I = 50
45.23°, d 2.005, I = 33
45.38°, d 1.998, I = 33
45.49°, d 1.994, I = 35
53.48°, d 1.713, I = 15
53.63°, d 1.709, I = 15
53.81°, d 1.704, I = 24
53.93°, d 1.700, I = 39
66.30°, d 1.410, I = 11

Structure:
Unit cell a=6.9208 b=7.9817 c=8.9669 alpha=102.61 beta=97.87 gamma=106.85
Sites, in units of the cell vectors:
Y (0.0000, 0.0000, 0.0000)
Th (0.1820, 0.4206, 0.4575)
Th (0.1851, 0.9084, 0.4568)
Th (0.3836, 0.3129, 0.8486)
Th (0.3930, 0.8139, 0.8545)
Th (0.5609, 0.2131, 0.2498)
Th (0.5709, 0.7027, 0.2499)
Th (0.7824, 0.1110, 0.6442)
Th (0.7825, 0.6101, 0.6512)
Th (0.9769, 0.5084, 0.0520)
Mg (0.8994, 0.0509, 0.2770)
O (0.0341, 0.2374, 0.8955)
O (0.0372, 0.7328, 0.8946)
O (0.1395, 0.6887, 0.6031)
O (0.1413, 0.1908, 0.6061)
O (0.2137, 0.1347, 0.2934)
O (0.2240, 0.6337, 0.3008)
O (0.3313, 0.5867, 0.0037)
O (0.3364, 0.0855, 0.9946)
O (0.4353, 0.5397, 0.7037)
O (0.4361, 0.0363, 0.7014)
O (0.5151, 0.9840, 0.4000)
O (0.5199, 0.4828, 0.3997)
O (0.6280, 0.4372, 0.1042)
O (0.6353, 0.9399, 0.1051)
O (0.7322, 0.3867, 0.8051)
O (0.7343, 0.8852, 0.7942)
O (0.8263, 0.3453, 0.5056)
O (0.8281, 0.8262, 0.5024)
O (0.9218, 0.2830, 0.2044)
O (0.9260, 0.7931, 0.1997)

6.
# YTh9MgO20
Computed XRD peak list, Cu Kα (weighted mean of Kα1 and Kα2). Input: a GGA-PBE-relaxed structure.
Lines closer than 0.1° are merged.

Most intense lines, 2θ = 5–70°, in order of rising 2θ:
27.31°, d 3.265, I = 100
27.36°, d 3.260, I = 33
31.52°, d 2.839, I = 16
31.72°, d 2.821, I = 34
45.33°, d 2.001, I = 45
45.48°, d 1.994, I = 23
53.59°, d 1.710, I = 15
53.66°, d 1.708, I = 5
53.84°, d 1.703, I = 21
53.90°, d 1.701, I = 21
56.36°, d 1.633, I = 10
66.27°, d 1.410, I = 7

Structure:
Unit cell a=6.9390 b=7.9960 c=8.9297 alpha=103.09 beta=97.12 gamma=107.04
Sites, in units of the cell vectors:
Y (0.0000, 0.0000, 0.0000)
Th (0.1478, 0.4169, 0.3771)
Th (0.1508, 0.9173, 0.3839)
Th (0.3390, 0.8053, 0.7736)
Th (0.3522, 0.3133, 0.7835)
Th (0.5493, 0.2266, 0.1897)
Th (0.5534, 0.7237, 0.1773)
Th (0.7456, 0.6240, 0.5837)
Th (0.7521, 0.1209, 0.5718)
Th (0.9552, 0.5253, 0.9822)
Mg (0.7141, 0.1310, 0.9017)
O (0.0050, 0.7426, 0.8321)
O (0.0941, 0.6890, 0.5287)
O (0.0972, 0.1946, 0.5307)
O (0.2028, 0.6432, 0.2302)
O (0.2078, 0.1445, 0.2375)
O (0.2989, 0.5928, 0.9292)
O (0.3027, 0.0926, 0.9351)
O (0.3905, 0.0379, 0.6235)
O (0.3942, 0.5425, 0.6288)
O (0.4990, 0.4968, 0.3340)
O (0.5029, 0.9952, 0.3285)
O (0.5997, 0.4554, 0.0371)
O (0.6071, 0.9479, 0.0259)
O (0.6975, 0.8987, 0.7327)
O (0.6989, 0.4029, 0.7241)
O (0.7995, 0.3448, 0.4277)
O (0.7998, 0.8456, 0.4298)
O (0.8970, 0.2878, 0.1240)
O (0.9102, 0.7937, 0.1347)
O (0.9904, 0.2387, 0.8324)

7.
# MgTi4O8
Computed XRD peak list, Cu Kα (weighted mean of Kα1 and Kα2). Input: a GGA-PBE-relaxed structure.
Lines closer than 0.1° are merged.

Most intense lines, 2θ = 5–70°, in order of rising 2θ:
17.80°, d 4.984, I = 68
18.14°, d 4.890, I = 55
20.88°, d 4.254, I = 63
29.48°, d 3.030, I = 27
34.65°, d 2.589, I = 32
35.02°, d 2.562, I = 73
35.21°, d 2.549, I = 64
42.50°, d 2.127, I = 100
55.82°, d 1.647, I = 24
56.20°, d 1.637, I = 26
61.18°, d 1.515, I = 52
62.15°, d 1.494, I = 50

Structure:
Unit cell a=5.9737 b=5.9737 c=6.0587 alpha=119.50 beta=119.50 gamma=60.03
Sites, in units of the cell vectors:
Mg (0.0000, 0.0000, 0.0000)
Ti (0.0048, 0.4799, 0.4884)
Ti (0.0055, 0.0055, 0.4899)
Ti (0.4799, 0.0048, 0.4884)
Ti (0.6235, 0.6235, 0.8696)
O (0.2332, 0.7542, 0.7408)
O (0.2362, 0.2362, 0.7063)
O (0.2428, 0.2428, 0.2785)
O (0.2432, 0.7942, 0.2798)
O (0.7533, 0.7533, 0.2584)
O (0.7542, 0.2332, 0.7408)
O (0.7539, 0.7539, 0.7404)
O (0.7942, 0.2432, 0.2798)

8.
# MgTi4O8
Computed XRD peak list, Cu Kα (weighted mean of Kα1 and Kα2). Input: a GGA-PBE-relaxed structure.
Lines closer than 0.1° are merged.

Most intense lines, 2θ = 5–70°, in order of rising 2θ:
23.88°, d 3.726, I = 100
29.76°, d 3.002, I = 91
30.33°, d 2.947, I = 87
36.16°, d 2.484, I = 64
36.38°, d 2.469, I = 32
40.94°, d 2.204, I = 46
51.17°, d 1.785, I = 32
51.96°, d 1.760, I = 40
52.14°, d 1.754, I = 61
52.86°, d 1.732, I = 60
53.40°, d 1.716, I = 32
65.31°, d 1.429, I = 42

Structure:
Unit cell a=4.8915 b=5.7524 c=4.9404 alpha=90.00 beta=91.45 gamma=90.00
Sites, in units of the cell vectors:
Mg (0.0000, 0.0000, 0.0000)
Ti (0.0000, 0.2791, 0.5000)
Ti (0.0000, 0.5332, 0.0000)
Ti (0.5000, 0.0747, 0.0000)
Ti (0.5000, 0.7328, 0.5000)
O (0.2233, 0.2695, 0.1624)
O (0.2351, 0.5357, 0.6616)
O (0.2619, 0.0347, 0.6808)
O (0.2721, 0.7862, 0.1646)
O (0.7279, 0.7862, 0.8354)
O (0.7381, 0.0347, 0.3192)
O (0.7649, 0.5357, 0.3384)
O (0.7767, 0.2695, 0.8376)

9.
# MgTi4O8
Computed XRD peak list, Cu Kα (weighted mean of Kα1 and Kα2). Input: a GGA-PBE-relaxed structure.
Lines closer than 0.1° are merged.

Most intense lines, 2θ = 5–70°, in order of rising 2θ:
17.99°, d 4.930, I = 51
20.96°, d 4.239, I = 23
29.70°, d 3.008, I = 42
34.94°, d 2.568, I = 17
35.19°, d 2.550, I = 100
42.66°, d 2.120, I = 37
52.97°, d 1.729, I = 14
56.21°, d 1.636, I = 21
56.41°, d 1.631, I = 10
56.54°, d 1.628, I = 9
61.67°, d 1.504, I = 30
62.15°, d 1.493, I = 31

Structure:
Unit cell a=6.0167 b=6.0167 c=6.0167 alpha=59.53 beta=59.53 gamma=59.53
Sites, in units of the cell vectors:
Mg (0.0000, 0.0000, 0.0000)
Ti (0.3750, 0.3750, 0.8915)
Ti (0.3750, 0.8915, 0.3750)
Ti (0.7585, 0.7585, 0.7585)
Ti (0.8915, 0.3750, 0.3750)
O (0.1220, 0.1220, 0.5995)
O (0.1220, 0.5995, 0.1220)
O (0.1344, 0.1344, 0.1344)
O (0.1345, 0.6363, 0.6363)
O (0.5995, 0.1220, 0.1220)
O (0.6263, 0.6263, 0.6263)
O (0.6363, 0.1345, 0.6363)
O (0.6363, 0.6363, 0.1345)